Computed powder X-ray diffraction pattern
Compound: Li5Mn2P3O12
Radiation: Cu Kα
Structure: a cell relaxed with PBE+U
Intensities are scaled so that the largest is 100.

Main lines, by angle (2θ from 10° to 90°):
Position (°2θ), Rel. int.
14.0, 72.8
18.9, 70.3
19.1, 45.2
23.6, 95.9
30.5, 100.0
30.6, 47.1

a = 8.5062 Å, b = 8.5334 Å, c = 9.4069 Å
α = 63.17°, β = 63.55°, γ = 60.94°
Positions (direct):
Li1 0.0242 0.2679 0.3270
Li2 0.2088 0.2382 0.5778
Li3 0.2409 0.0451 0.8663
Li4 0.3156 0.1470 0.1219
Li5 0.3456 0.5769 0.3454
Li6 0.6544 0.4231 0.6546
Li7 0.6844 0.8530 0.8781
Li8 0.7591 0.9549 0.1337
Li9 0.7912 0.7618 0.4222
Li10 0.9758 0.7321 0.6730
Mn1 0.1405 0.6424 0.0512
Mn2 0.3541 0.8416 0.4643
Mn3 0.6459 0.1584 0.5357
Mn4 0.8595 0.3576 0.9488
P1 0.0511 0.9555 0.2459
P2 0.2612 0.4424 0.7375
P3 0.4511 0.2512 0.2423
P4 0.5489 0.7488 0.7577
P5 0.7388 0.5576 0.2625
P6 0.9489 0.0445 0.7541
O1 0.0525 0.0894 0.0666
O2 0.1493 0.7499 0.2433
O3 0.1525 0.3277 0.7522
O4 0.1532 0.0195 0.6336
O5 0.1551 0.0132 0.3065
O6 0.1577 0.5296 0.8790
O7 0.2478 0.6110 0.5708
O8 0.2528 0.3510 0.2094
O9 0.3939 0.6924 0.9059
O10 0.4257 0.2896 0.4004
O11 0.4668 0.3108 0.7336
O12 0.4982 0.0378 0.2732
O13 0.5018 0.9622 0.7268
O14 0.5332 0.6892 0.2664
O15 0.5743 0.7104 0.5996
O16 0.6061 0.3076 0.0941
O17 0.7472 0.6490 0.7906
O18 0.7522 0.3890 0.4292
O19 0.8423 0.4704 0.1210
O20 0.8449 0.9868 0.6935
O21 0.8468 0.9805 0.3664
O22 0.8475 0.6723 0.2478
O23 0.8507 0.2501 0.7567
O24 0.9475 0.9106 0.9334

---

Computed powder X-ray diffraction pattern
Compound: Li2V3TeO8
Radiation: Cu Kα
Structure: a cell relaxed with PBE+U
Intensities are scaled so that the largest is 100.

Main lines, by angle (2θ from 10° to 90°):
Position (°2θ), Rel. int.
19.1, 100.0
19.2, 48.8
24.7, 26.7
31.9, 59.5
34.8, 51.2
58.3, 27.8

a = 6.0295 Å, b = 6.0295 Å, c = 9.9567 Å
α = 90.06°, β = 90.06°, γ = 119.57°
Positions (direct):
Li1 0.0000 0.0000 0.0000
Li2 0.0000 0.0000 0.5000
Li3 0.3338 0.6690 0.9142
Li4 0.6690 0.3338 0.4142
V1 0.1696 0.8311 0.2218
V2 0.1765 0.3434 0.2282
V3 0.3434 0.1765 0.7282
V4 0.6583 0.8293 0.2266
V5 0.8293 0.6583 0.7266
V6 0.8311 0.1696 0.7218
Te1 0.3287 0.6689 0.5018
Te2 0.6689 0.3287 0.0018
O1 0.0041 0.9979 0.8167
O2 0.0351 0.5247 0.3522
O3 0.1506 0.3182 0.6059
O4 0.1683 0.8459 0.6052
O5 0.3182 0.1506 0.1059
O6 0.3350 0.6626 0.1188
O7 0.4769 0.5049 0.3435
O8 0.4916 0.9676 0.3485
O9 0.5049 0.4769 0.8435
O10 0.5247 0.0351 0.8522
O11 0.6626 0.3350 0.6188
O12 0.6857 0.8403 0.6079
O13 0.8403 0.6857 0.1079
O14 0.8459 0.1683 0.1052
O15 0.9676 0.4916 0.8485
O16 0.9979 0.0041 0.3167

---

Copy entry 2 word for word.
Computed powder X-ray diffraction pattern
Compound: Li2V3TeO8
Radiation: Cu Kα
Structure: a cell relaxed with PBE+U
Intensities are scaled so that the largest is 100.

Main lines, by angle (2θ from 10° to 90°):
Position (°2θ), Rel. int.
19.1, 100.0
19.2, 48.8
24.7, 26.7
31.9, 59.5
34.8, 51.2
58.3, 27.8

a = 6.0295 Å, b = 6.0295 Å, c = 9.9567 Å
α = 90.06°, β = 90.06°, γ = 119.57°
Positions (direct):
Li1 0.0000 0.0000 0.0000
Li2 0.0000 0.0000 0.5000
Li3 0.3338 0.6690 0.9142
Li4 0.6690 0.3338 0.4142
V1 0.1696 0.8311 0.2218
V2 0.1765 0.3434 0.2282
V3 0.3434 0.1765 0.7282
V4 0.6583 0.8293 0.2266
V5 0.8293 0.6583 0.7266
V6 0.8311 0.1696 0.7218
Te1 0.3287 0.6689 0.5018
Te2 0.6689 0.3287 0.0018
O1 0.0041 0.9979 0.8167
O2 0.0351 0.5247 0.3522
O3 0.1506 0.3182 0.6059
O4 0.1683 0.8459 0.6052
O5 0.3182 0.1506 0.1059
O6 0.3350 0.6626 0.1188
O7 0.4769 0.5049 0.3435
O8 0.4916 0.9676 0.3485
O9 0.5049 0.4769 0.8435
O10 0.5247 0.0351 0.8522
O11 0.6626 0.3350 0.6188
O12 0.6857 0.8403 0.6079
O13 0.8403 0.6857 0.1079
O14 0.8459 0.1683 0.1052
O15 0.9676 0.4916 0.8485
O16 0.9979 0.0041 0.3167